(1)
For TbHo2In3PtAu2, a cell relaxed with PBE gives the theoretical powder X-ray diffraction pattern in this record (Cu Kα, 1.54184 Å).

Structure:
```
9
Lattice="3.9476 0.0000 0.0000 0.0000 6.6818 3.8546 0.0000 -6.6818 3.8546" Properties=species:S:1:pos:R:3 pbc="T T T"
Tb 0.0000 0.0000 0.0000
Ho 0.0000 -2.6790 4.6381
Ho 0.0000 2.6790 4.6381
In 1.9738 -1.7150 2.1050
In 1.9738 1.7150 2.1050
In 1.9738 0.0000 5.0688
Pt 0.0000 0.0000 3.0953
Au 1.9738 -4.4509 3.0917
Au 1.9738 4.4509 3.0917
```

Largest 10 diffraction maxima, sorted by position, 2θ from 15° to 90°:
two_theta	Rel. int.
23.06	17
32.46	89
35.20	100
35.56	35
40.52	56
42.51	43
45.98	27
59.44	15
62.93	31
65.33	37


(2)
For Ta2HgS5, a cell relaxed with PBE gives the theoretical powder X-ray diffraction pattern in this record (Cu Kα, 1.54184 Å).

Structure:
```
16
Lattice="1.7332 -7.0743 0.0000 1.7332 7.0743 0.0000 0.0000 0.0000 14.7776" Properties=species:S:1:pos:R:3 pbc="T T T"
Ta 1.7332 4.1054 8.6831
Ta 1.7332 4.1054 13.4833
Ta 1.7332 -4.1054 1.2943
Ta 1.7332 -4.1054 6.0945
Hg 1.7332 0.6556 3.6944
Hg 1.7332 -0.6556 11.0832
S 1.7332 4.7181 1.1128
S 1.7332 4.7181 6.2761
S 1.7332 3.8434 11.0832
S 1.7332 1.0938 1.3316
S 1.7332 1.0938 6.0572
S 1.7332 -1.0938 8.7204
S 1.7332 -1.0938 13.4460
S 1.7332 -3.8434 3.6944
S 1.7332 -4.7181 8.5016
S 1.7332 -4.7181 13.6649
```

Largest 10 diffraction maxima, sorted by position, 2θ from 15° to 90°:
two_theta	Rel. int.
17.35	100
27.22	53
29.15	38
31.13	39
32.04	64
32.20	46
32.63	72
36.48	54
38.67	36
49.33	37